# 1
Computed XRD peak list
Compound: KCaFe2I8
Radiation: Cu Kα, 1.54184 Å
Structure: a DFT-relaxed cell (PBE, Alexandria)
Lines closer than 0.1° are merged.

Most intense lines, 10 to 80 degrees two-theta, in order of rising 2θ:
d_spacing  2theta  intensity
5.545  15.98  18
3.592  24.79  32
3.527  25.25  100
3.069  29.10  61
2.185  41.33  34
2.155  41.92  37
1.848  49.31  29
1.839  49.56  15

Structure:
Lattice parameters (Å, degrees): 7.466 7.466 10.777 90.00 90.00 120.00
Element x y z (fractional)
1 K 0.000 0.000 0.000
2 Ca 0.000 0.000 0.500
3 Fe 0.333 0.667 0.752
4 Fe 0.667 0.333 0.248
5 I 0.000 0.334 0.680
6 I 0.000 0.666 0.320
7 I 0.333 0.000 0.680
8 I 0.333 0.667 0.989
9 I 0.334 0.333 0.320
10 I 0.666 0.667 0.680
11 I 0.667 0.000 0.320
12 I 0.667 0.333 0.011


# 2
Computed XRD peak list
Compound: Rb2CaFeI6
Radiation: Cu Kα, 1.54184 Å
Structure: a DFT-relaxed cell (PBE, Alexandria)
Lines closer than 0.1° are merged.

Most intense lines, 10 to 80 degrees two-theta, in order of rising 2θ:
d_spacing  2theta  intensity
5.795  15.29  16
3.346  26.64  100
2.898  30.86  80
2.049  44.20  55
1.747  52.36  40
1.673  54.88  18
1.330  70.88  14
1.296  73.01  21

Structure:
Lattice parameters (Å, degrees): 8.196 8.196 8.196 60.00 60.00 60.00
Element x y z (fractional)
1 Rb 0.250 0.250 0.250
2 Rb 0.750 0.750 0.750
3 Ca 0.000 0.000 0.000
4 Fe 0.500 0.500 0.500
5 I 0.268 0.268 0.732
6 I 0.268 0.732 0.268
7 I 0.268 0.732 0.732
8 I 0.732 0.268 0.268
9 I 0.732 0.268 0.732
10 I 0.732 0.732 0.268


# 3
Computed XRD peak list
Compound: KCa2TaFe
Radiation: Cu Kα, 1.54184 Å
Structure: a DFT-relaxed cell (PBE, Alexandria)
Lines closer than 0.1° are merged.

Most intense lines, 10 to 80 degrees two-theta, in order of rising 2θ:
d_spacing  2theta  intensity
6.047  14.65  100
4.276  20.78  44
3.627  24.54  40
3.023  29.55  66
2.704  33.13  29
2.322  38.78  24
2.138  42.28  24
1.814  50.31  29

Structure:
Lattice parameters (Å, degrees): 6.047 6.047 4.533 90.00 90.00 90.00
Element x y z (fractional)
1 K 0.000 0.000 0.000
2 Ca 0.000 0.500 0.500
3 Ca 0.500 0.000 0.500
4 Ta 0.500 0.500 0.500
5 Fe 0.500 0.500 0.000


# 4
Computed XRD peak list
Compound: CaLa2Fe
Radiation: Cu Kα, 1.54184 Å
Structure: a DFT-relaxed cell (PBE, Alexandria)
Lines closer than 0.1° are merged.

Most intense lines, 10 to 80 degrees two-theta, in order of rising 2θ:
d_spacing  2theta  intensity
5.456  16.24  100
5.183  17.11  54
3.529  25.24  63
3.318  26.87  53
2.999  29.79  87
2.797  31.99  90
2.731  32.79  52
2.440  36.84  79

Structure:
Lattice parameters (Å, degrees): 12.020 3.753 6.645 90.00 120.41 90.00
Element x y z (fractional)
1 Ca 0.000 0.000 0.000
2 Ca 0.500 0.500 0.000
3 La 0.151 0.500 0.674
4 La 0.322 0.500 0.298
5 La 0.651 0.000 0.674
6 La 0.822 0.000 0.298
7 Fe 0.265 0.000 0.995
8 Fe 0.765 0.500 0.995